1.
The following is a simulated powder diffraction line list of Na2NiH14N6. It was derived from the PBE geometry in the Materials Project, using Cu Kα (λ = 1.5418 Å).
Kinematic intensities with the Lorentz-polarization factor, no thermal factor.

The 12 most intense peaks (10° ≤ 2θ ≤ 90°), most intense first:
d (Å)  Position (°2θ)  I/Imax
7.081  12.5  100
6.407  13.8  84
3.491  25.5  56
4.248  20.9  27
2.765  32.4  23
2.558  35.1  21
2.360  38.1  15
2.790  32.1  14
1.634  56.3  14
3.540  25.2  14
1.900  47.9  13
2.093  43.2  13

Cell and atoms:
a b c (Å): 9.061 9.061 11.348
angles (deg): 90.00 90.00 90.00
Space group I4/m (No. 87)
One atom of each set of equivalent atoms:
Na (0.100, 0.235, 0.000)
Ni (0.000, 0.000, 0.176)
H (0.011, 0.735, 0.224)
H (0.016, 0.218, 0.428)
H (0.086, 0.356, 0.500)
H (0.175, 0.794, 0.199)
N (0.002, 0.716, 0.500)
N (0.070, 0.800, 0.166)

2.
The following is a simulated powder diffraction line list of CuTeSeCl. It was derived from the PBE geometry in the Materials Project, using Cu Kα (λ = 1.5418 Å).
Kinematic intensities with the Lorentz-polarization factor, no thermal factor.

The 12 most intense peaks (10° ≤ 2θ ≤ 90°), most intense first:
d (Å)  Position (°2θ)  I/Imax
5.421  16.4  100
3.148  28.3  81
2.939  30.4  75
4.572  19.4  45
2.925  30.6  42
2.832  31.6  41
2.309  39.0  41
3.124  28.6  40
2.068  43.8  38
3.565  25.0  36
5.728  15.5  32
1.643  56.0  29

Cell and atoms:
a b c (Å): 8.025 5.042 12.117
angles (deg): 90.00 116.51 90.00
Space group P2_1/c (No. 14)
One atom of each set of equivalent atoms:
Cu (0.179, 0.133, 0.249)
Te (0.280, 0.014, 0.642)
Se (0.416, 0.698, 0.841)
Cl (0.078, 0.143, 0.876)